# 1
Diffraction record for Pm5SbPt2. The X-ray powder pattern is computed, not measured: it uses a PBE-relaxed structure and Cu Kα (λ = 1.5418 Å).
Lines closer than 0.1° are merged.

```
data_Pm5SbPt2
_space_group_name_H-M_alt 'I 4/m c m'
_space_group_IT_number 140
_space_group_name_Hall '-I 4 2c'
_cell_length_a 8.039
_cell_length_b 8.039
_cell_length_c 13.736
_cell_angle_alpha 90.00
_cell_angle_beta 90.00
_cell_angle_gamma 90.00
loop_
_atom_site_label
_atom_site_type_symbol
_atom_site_fract_x
_atom_site_fract_y
_atom_site_fract_z
Pm1 Pm 0.000 0.000 0.000
Pm2 Pm 0.158 0.342 0.139
Sb1 Sb 0.000 0.000 0.250
Pt1 Pt 0.136 0.364 0.500
```

The 10 most intense peaks (2θ = 10–90°), low angle first:
d 6.868, intensity 20.7; d 2.939, intensity 8.8; d 2.828, intensity 100.0; d 2.611, intensity 16.8; d 2.542, intensity 51.7; d 2.183, intensity 20.5; d 1.794, intensity 9.0; d 1.422, intensity 19.4; d 1.419, intensity 17.1; d 1.180, intensity 7.9



# 2
Diffraction record for Pm3Sb4Pt3. The X-ray powder pattern is computed, not measured: it uses a PBE-relaxed structure and Cu Kα (λ = 1.5418 Å).
Lines closer than 0.1° are merged.

```
data_Pm3Sb4Pt3
_space_group_name_H-M_alt 'I -4 3 d'
_space_group_IT_number 220
_space_group_name_Hall 'I -4bd 2c 3'
_cell_length_a 9.934
_cell_length_b 9.934
_cell_length_c 9.934
_cell_angle_alpha 90.00
_cell_angle_beta 90.00
_cell_angle_gamma 90.00
loop_
_atom_site_label
_atom_site_type_symbol
_atom_site_fract_x
_atom_site_fract_y
_atom_site_fract_z
Pm1 Pm 0.000 0.250 0.875
Sb1 Sb 0.081 0.419 0.581
Pt1 Pt 0.000 0.250 0.375
```

The 10 most intense peaks (2θ = 10–90°), low angle first:
d 4.056, intensity 29.9; d 2.655, intensity 100.0; d 2.221, intensity 50.4; d 2.118, intensity 12.9; d 2.028, intensity 14.6; d 1.948, intensity 15.1; d 1.814, intensity 12.1; d 1.571, intensity 13.0; d 1.434, intensity 11.4; d 1.352, intensity 15.7



# 3
Diffraction record for Pm6Sb2Pt. The X-ray powder pattern is computed, not measured: it uses a PBE-relaxed structure and Cu Kα (λ = 1.5418 Å).
Lines closer than 0.1° are merged.

```
data_Pm6Sb2Pt
_space_group_name_H-M_alt 'P 1 21/c 1'
_space_group_IT_number 14
_space_group_name_Hall '-P 2ybc'
_cell_length_a 6.467
_cell_length_b 8.294
_cell_length_c 12.097
_cell_angle_alpha 90.00
_cell_angle_beta 120.72
_cell_angle_gamma 90.00
loop_
_atom_site_label
_atom_site_type_symbol
_atom_site_fract_x
_atom_site_fract_y
_atom_site_fract_z
Pm1 Pm 0.083 0.186 0.453
Pm2 Pm 0.318 0.673 0.456
Pm3 Pm 0.369 0.028 0.242
Sb1 Sb 0.157 0.115 0.749
Pt1 Pt 0.500 0.000 0.500
```

The 10 most intense peaks (2θ = 10–90°), low angle first:
d 3.324, intensity 39.9; d 3.241, intensity 35.1; d 3.016, intensity 54.8; d 2.914, intensity 100.0; d 2.877, intensity 43.2; d 2.600, intensity 44.1; d 2.577, intensity 28.2; d 2.542, intensity 65.9; d 1.809, intensity 32.6; d 1.781, intensity 34.5



# 4
Diffraction record for PmThSbPt. The X-ray powder pattern is computed, not measured: it uses a PBE-relaxed structure and Cu Kα (λ = 1.5418 Å).
Lines closer than 0.1° are merged.

```
data_PmThSbPt
_space_group_name_H-M_alt 'F -4 3 m'
_space_group_IT_number 216
_space_group_name_Hall 'F -4 2 3'
_cell_length_a 7.483
_cell_length_b 7.483
_cell_length_c 7.483
_cell_angle_alpha 90.00
_cell_angle_beta 90.00
_cell_angle_gamma 90.00
loop_
_atom_site_label
_atom_site_type_symbol
_atom_site_fract_x
_atom_site_fract_y
_atom_site_fract_z
Pm1 Pm 0.000 0.000 0.000
Th1 Th 0.000 0.000 0.500
Sb1 Sb 0.250 0.250 0.750
Pt1 Pt 0.250 0.250 0.250
```

The 10 most intense peaks (2θ = 10–90°), low angle first:
d 4.320, intensity 5.0; d 2.646, intensity 100.0; d 2.256, intensity 3.0; d 1.871, intensity 18.2; d 1.717, intensity 1.4; d 1.527, intensity 38.0; d 1.440, intensity 1.1; d 1.323, intensity 11.8; d 1.265, intensity 1.1; d 1.183, intensity 16.7



# 5
Diffraction record for Pm5Sc4Pt4. The X-ray powder pattern is computed, not measured: it uses a PBE-relaxed structure and Cu Kα (λ = 1.5418 Å).
Lines closer than 0.1° are merged.

```
data_Pm5Sc4Pt4
_space_group_name_H-M_alt 'I 4/m'
_space_group_IT_number 87
_space_group_name_Hall '-I 4'
_cell_length_a 12.742
_cell_length_b 12.742
_cell_length_c 3.973
_cell_angle_alpha 90.00
_cell_angle_beta 90.00
_cell_angle_gamma 90.00
loop_
_atom_site_label
_atom_site_type_symbol
_atom_site_fract_x
_atom_site_fract_y
_atom_site_fract_z
Pm1 Pm 0.000 0.000 0.000
Pm2 Pm 0.133 0.812 0.500
Sc1 Sc 0.090 0.391 0.500
Pt1 Pt 0.051 0.254 0.000
```

The 10 most intense peaks (2θ = 10–90°), low angle first:
d 4.505, intensity 31.9; d 3.003, intensity 26.1; d 2.901, intensity 98.5; d 2.849, intensity 45.4; d 2.641, intensity 88.4; d 2.499, intensity 28.6; d 2.439, intensity 100.0; d 2.185, intensity 38.8; d 1.986, intensity 31.1; d 1.469, intensity 47.4



# 6
Diffraction record for PmSi3Pt10. The X-ray powder pattern is computed, not measured: it uses a PBE-relaxed structure and Cu Kα (λ = 1.5418 Å).
Lines closer than 0.1° are merged.

```
data_PmSi3Pt10
_space_group_name_H-M_alt 'F m -3 m'
_space_group_IT_number 225
_space_group_name_Hall '-F 4 2 3'
_cell_length_a 12.349
_cell_length_b 12.349
_cell_length_c 12.349
_cell_angle_alpha 90.00
_cell_angle_beta 90.00
_cell_angle_gamma 90.00
loop_
_atom_site_label
_atom_site_type_symbol
_atom_site_fract_x
_atom_site_fract_y
_atom_site_fract_z
Pm1 Pm 0.250 0.250 0.250
Si1 Si 0.000 0.000 0.237
Pt1 Pt 0.000 0.173 0.327
Pt2 Pt 0.115 0.115 0.115
```

The 10 most intense peaks (2θ = 10–90°), low angle first:
d 2.761, intensity 35.6; d 2.521, intensity 16.9; d 2.377, intensity 100.0; d 2.183, intensity 19.6; d 2.087, intensity 48.8; d 1.862, intensity 13.2; d 1.455, intensity 26.2; d 1.426, intensity 13.1; d 1.355, intensity 13.6; d 1.260, intensity 16.0



# 7
Diffraction record for Pm2Si3Pt9. The X-ray powder pattern is computed, not measured: it uses a PBE-relaxed structure and Cu Kα (λ = 1.5418 Å).
Lines closer than 0.1° are merged.

```
data_Pm2Si3Pt9
_space_group_name_H-M_alt 'C 1 2/c 1'
_space_group_IT_number 15
_space_group_name_Hall '-C 2yc'
_cell_length_a 13.400
_cell_length_b 7.710
_cell_length_c 10.172
_cell_angle_alpha 90.00
_cell_angle_beta 116.63
_cell_angle_gamma 90.00
loop_
_atom_site_label
_atom_site_type_symbol
_atom_site_fract_x
_atom_site_fract_y
_atom_site_fract_z
Pm1 Pm 0.171 0.085 0.250
Si1 Si 0.089 0.232 0.498
Si2 Si 0.250 0.250 0.000
Pt1 Pt 0.000 0.360 0.250
Pt2 Pt 0.061 0.077 0.924
Pt3 Pt 0.104 0.409 0.059
Pt4 Pt 0.107 0.309 0.741
Pt5 Pt 0.224 0.417 0.427
```

The 10 most intense peaks (2θ = 10–90°), low angle first:
d 3.862, intensity 25.8; d 2.937, intensity 33.1; d 2.395, intensity 77.0; d 2.382, intensity 100.0; d 2.375, intensity 80.3; d 2.233, intensity 46.3; d 2.228, intensity 92.5; d 1.322, intensity 23.1; d 1.318, intensity 22.4; d 1.312, intensity 49.3



# 8
Diffraction record for Pm3Si2Pt2. The X-ray powder pattern is computed, not measured: it uses a PBE-relaxed structure and Cu Kα (λ = 1.5418 Å).
Lines closer than 0.1° are merged.

```
data_Pm3Si2Pt2
_space_group_name_H-M_alt 'P b c m'
_space_group_IT_number 57
_space_group_name_Hall '-P 2c 2b'
_cell_length_a 5.710
_cell_length_b 8.093
_cell_length_c 13.263
_cell_angle_alpha 90.00
_cell_angle_beta 90.00
_cell_angle_gamma 90.00
loop_
_atom_site_label
_atom_site_type_symbol
_atom_site_fract_x
_atom_site_fract_y
_atom_site_fract_z
Pm1 Pm 0.127 0.111 0.104
Pm2 Pm 0.357 0.749 0.750
Si1 Si 0.155 0.100 0.750
Si2 Si 0.348 0.750 0.000
Pt1 Pt 0.383 0.043 0.593
```

The 10 most intense peaks (2θ = 10–90°), low angle first:
d 3.816, intensity 20.9; d 3.454, intensity 27.0; d 3.205, intensity 28.7; d 2.703, intensity 37.2; d 2.642, intensity 92.5; d 2.565, intensity 37.1; d 2.439, intensity 47.5; d 2.299, intensity 100.0; d 2.210, intensity 32.6; d 1.549, intensity 20.8